Theoretical powder diffractogram
Compound: Sr3UN3
Radiation: copper Kα
Structure: a PBE-relaxed structure
Kinematic intensities with the Lorentz-polarization factor, no thermal factor.

Crystal structure
a b c (Å): 10.3275 10.3275 5.4904
angles (deg): 90.00 90.00 90.00
Fractional positions:
Sr  0.1259  0.3739  0.0000
Sr  0.1261  0.6259  0.5000
Sr  0.1335  0.1335  0.5000
Sr  0.3665  0.6335  0.0000
Sr  0.3739  0.1259  0.0000
Sr  0.3741  0.8739  0.5000
Sr  0.6259  0.1261  0.5000
Sr  0.6261  0.8741  0.0000
Sr  0.6335  0.3665  0.0000
Sr  0.8665  0.8665  0.5000
Sr  0.8739  0.3741  0.5000
Sr  0.8741  0.6261  0.0000
U  0.1212  0.8788  0.0000
U  0.3788  0.3788  0.5000
U  0.6212  0.6212  0.5000
U  0.8788  0.1212  0.0000
N  0.0973  0.0973  0.0000
N  0.1165  0.6714  0.0000
N  0.1714  0.3835  0.5000
N  0.3286  0.8835  0.0000
N  0.3835  0.1714  0.5000
N  0.4027  0.5973  0.5000
N  0.5973  0.4027  0.5000
N  0.6165  0.8286  0.5000
N  0.6714  0.1165  0.0000
N  0.8286  0.6165  0.5000
N  0.8835  0.3286  0.0000
N  0.9027  0.9027  0.0000

Peak list (10 most intense, 2θ from 10° to 90°, low angle first)
2θ/deg	d/Å	I (rel.)
18.30	4.848	22
29.38	3.040	100
32.62	2.745	26
34.75	2.582	42
48.40	1.881	32
49.96	1.826	14
56.22	1.636	17
59.02	1.565	31
60.94	1.520	16
78.50	1.218	14

---

Theoretical powder diffractogram
Compound: Sc5Al4Os
Radiation: copper Kα
Structure: a PBE-relaxed structure
Kinematic intensities with the Lorentz-polarization factor, no thermal factor.

Crystal structure
a b c (Å): 3.3318 3.3318 16.8339
angles (deg): 90.00 90.00 90.00
Fractional positions:
Sc  0.0000  0.0000  0.0000
Sc  0.0000  0.0000  0.2060
Sc  0.0000  0.0000  0.4108
Sc  0.0000  0.0000  0.5892
Sc  0.0000  0.0000  0.7940
Al  0.5000  0.5000  0.1030
Al  0.5000  0.5000  0.3088
Al  0.5000  0.5000  0.6912
Al  0.5000  0.5000  0.8970
Os  0.5000  0.5000  0.5000

Peak list (10 most intense, 2θ from 10° to 90°, low angle first)
2θ/deg	d/Å	I (rel.)
10.51	8.417	56
15.79	5.611	23
27.29	3.268	22
28.82	3.098	19
31.22	2.865	14
37.99	2.368	100
38.20	2.356	51
55.13	1.666	17
68.51	1.370	16
68.91	1.363	32

---

Theoretical powder diffractogram
Compound: Mg5C4
Radiation: copper Kα
Structure: a PBE-relaxed structure
Kinematic intensities with the Lorentz-polarization factor, no thermal factor.

Crystal structure
a b c (Å): 6.7754 6.7754 5.4447
angles (deg): 90.00 90.00 120.00
Fractional positions:
Mg  0.0000  0.2529  0.2500
Mg  0.0000  0.7471  0.7500
Mg  0.2529  0.0000  0.2500
Mg  0.2529  0.2529  0.7500
Mg  0.3333  0.6667  0.0000
Mg  0.3333  0.6667  0.5000
Mg  0.6667  0.3333  0.0000
Mg  0.6667  0.3333  0.5000
Mg  0.7471  0.0000  0.7500
Mg  0.7471  0.7471  0.2500
C  0.0000  0.0000  0.0000
C  0.0000  0.0000  0.5000
C  0.0000  0.4126  0.7500
C  0.0000  0.5874  0.2500
C  0.4126  0.0000  0.7500
C  0.4126  0.4126  0.2500
C  0.5874  0.0000  0.2500
C  0.5874  0.5874  0.7500

Peak list (10 most intense, 2θ from 10° to 90°, low angle first)
2θ/deg	d/Å	I (rel.)
31.09	2.876	23
36.38	2.469	17
40.68	2.218	22
42.60	2.122	100
44.09	2.054	73
46.43	1.956	39
64.83	1.438	18
66.58	1.405	19
73.31	1.291	16
74.04	1.280	11

---

Theoretical powder diffractogram
Compound: Na6NbP4
Radiation: copper Kα
Structure: a PBE-relaxed structure
Kinematic intensities with the Lorentz-polarization factor, no thermal factor.

Crystal structure
a b c (Å): 9.3097 9.3097 7.1661
angles (deg): 90.00 90.00 120.00
Fractional positions:
Na  0.0641  0.5320  0.0000
Na  0.1454  0.2908  0.6802
Na  0.1454  0.8546  0.6802
Na  0.2908  0.1454  0.1802
Na  0.4680  0.5320  0.0000
Na  0.4680  0.9359  0.0000
Na  0.5320  0.0641  0.5000
Na  0.5320  0.4680  0.5000
Na  0.7092  0.8546  0.6802
Na  0.8546  0.1454  0.1802
Na  0.8546  0.7092  0.1802
Na  0.9359  0.4680  0.5000
Nb  0.3333  0.6667  0.3843
Nb  0.6667  0.3333  0.8843
P  0.1913  0.3825  0.2843
P  0.1913  0.8087  0.2843
P  0.3333  0.6667  0.7169
P  0.3825  0.1913  0.7843
P  0.6175  0.8087  0.2843
P  0.6667  0.3333  0.2169
P  0.8087  0.1913  0.7843
P  0.8087  0.6175  0.7843

Peak list (10 most intense, 2θ from 10° to 90°, low angle first)
2θ/deg	d/Å	I (rel.)
10.97	8.062	84
16.55	5.356	100
19.07	4.655	23
22.05	4.031	25
31.51	2.839	23
31.91	2.804	78
33.46	2.678	47
38.69	2.327	73
39.34	2.290	29
48.42	1.880	22

---

Theoretical powder diffractogram
Compound: CaAc2Ga4Ir3
Radiation: copper Kα
Structure: a PBE-relaxed structure
Kinematic intensities with the Lorentz-polarization factor, no thermal factor.

Crystal structure
a b c (Å): 4.3405 4.3405 11.6139
angles (deg): 90.00 90.00 90.00
Fractional positions:
Ca  0.0000  0.0000  0.0000
Ac  0.0000  0.5000  0.7253
Ac  0.5000  0.0000  0.2747
Ga  0.0000  0.0000  0.5000
Ga  0.0000  0.5000  0.1571
Ga  0.5000  0.0000  0.8429
Ga  0.5000  0.5000  0.5000
Ir  0.0000  0.5000  0.3777
Ir  0.5000  0.0000  0.6223
Ir  0.5000  0.5000  0.0000

Peak list (10 most intense, 2θ from 10° to 90°, low angle first)
2θ/deg	d/Å	I (rel.)
29.09	3.069	33
30.12	2.967	21
30.95	2.889	85
33.01	2.713	100
41.61	2.170	68
44.23	2.048	32
52.75	1.735	39
60.31	1.535	23
62.34	1.489	24
70.50	1.336	22

---

Theoretical powder diffractogram
Compound: Tb3Th2Hg3
Radiation: copper Kα
Structure: a PBE-relaxed structure
Kinematic intensities with the Lorentz-polarization factor, no thermal factor.

Crystal structure
a b c (Å): 3.6555 5.4393 22.7392
angles (deg): 90.00 90.00 90.00
Fractional positions:
Tb  0.0000  0.0000  0.0000
Tb  0.0000  0.5000  0.1204
Tb  0.0000  0.5000  0.8796
Tb  0.5000  0.0000  0.3796
Tb  0.5000  0.0000  0.6204
Tb  0.5000  0.5000  0.5000
Th  0.0000  0.0000  0.2338
Th  0.0000  0.0000  0.7662
Th  0.5000  0.5000  0.2662
Th  0.5000  0.5000  0.7338
Hg  0.0000  0.0000  0.5000
Hg  0.0000  0.5000  0.3879
Hg  0.0000  0.5000  0.6121
Hg  0.5000  0.0000  0.1121
Hg  0.5000  0.0000  0.8879
Hg  0.5000  0.5000  0.0000

Peak list (10 most intense, 2θ from 10° to 90°, low angle first)
2θ/deg	d/Å	I (rel.)
31.47	2.843	25
32.93	2.720	28
33.48	2.677	100
46.19	1.965	18
49.89	1.828	9
57.33	1.607	11
59.16	1.562	20
61.09	1.517	10
70.34	1.338	9
82.97	1.164	9

---

Theoretical powder diffractogram
Compound: Pm8PrGa6
Radiation: copper Kα
Structure: a PBE-relaxed structure
Kinematic intensities with the Lorentz-polarization factor, no thermal factor.

Crystal structure
a b c (Å): 8.1093 8.1093 8.1093
angles (deg): 66.36 66.36 66.36
Fractional positions:
Pm  0.0536  0.3866  0.7199
Pm  0.1668  0.1668  0.1668
Pm  0.2801  0.9464  0.6134
Pm  0.3866  0.7199  0.0536
Pm  0.6134  0.2801  0.9464
Pm  0.7199  0.0536  0.3866
Pm  0.8332  0.8332  0.8332
Pm  0.9464  0.6134  0.2801
Pr  0.5000  0.5000  0.5000
Ga  0.1075  0.7795  0.4434
Ga  0.2205  0.5566  0.8925
Ga  0.4434  0.1075  0.7795
Ga  0.5566  0.8925  0.2205
Ga  0.7795  0.4434  0.1075
Ga  0.8925  0.2205  0.5566

Peak list (10 most intense, 2θ from 10° to 90°, low angle first)
2θ/deg	d/Å	I (rel.)
20.01	4.438	3
24.56	3.625	33
35.00	2.563	100
43.23	2.093	10
50.34	1.813	18
56.79	1.621	13
62.79	1.480	36
73.95	1.282	11
79.25	1.209	4
84.52	1.146	16

---

Theoretical powder diffractogram
Compound: VGaFe
Radiation: copper Kα
Structure: a PBE-relaxed structure
Kinematic intensities with the Lorentz-polarization factor, no thermal factor.

Crystal structure
a b c (Å): 3.8352 5.0976 8.0138
angles (deg): 90.00 90.00 90.00
Fractional positions:
V  0.0000  0.0000  0.2041
V  0.0000  0.0000  0.7959
V  0.5000  0.5000  0.2959
V  0.5000  0.5000  0.7041
Ga  0.0000  0.2599  0.5000
Ga  0.0000  0.7401  0.5000
Ga  0.5000  0.2401  0.0000
Ga  0.5000  0.7599  0.0000
Fe  0.0000  0.5000  0.1347
Fe  0.0000  0.5000  0.8653
Fe  0.5000  0.0000  0.3653
Fe  0.5000  0.0000  0.6347

Peak list (10 most intense, 2θ from 10° to 90°, low angle first)
2θ/deg	d/Å	I (rel.)
36.93	2.434	16
41.18	2.192	99
42.01	2.151	54
44.13	2.052	100
47.41	1.918	42
54.74	1.677	16
58.61	1.575	16
65.18	1.431	27
85.92	1.131	13
88.81	1.102	19

---

Theoretical powder diffractogram
Compound: Pm8PrY5
Radiation: copper Kα
Structure: a PBE-relaxed structure
Kinematic intensities with the Lorentz-polarization factor, no thermal factor.

Crystal structure
a b c (Å): 8.5972 8.5972 8.5972
angles (deg): 111.58 111.58 105.33
Fractional positions:
Pm  0.0891  0.6757  0.7683
Pm  0.1789  0.2828  0.7582
Pm  0.3243  0.0927  0.4134
Pm  0.5246  0.4207  0.2418
Pm  0.5793  0.8211  0.1039
Pm  0.6793  0.9109  0.5866
Pm  0.7172  0.4754  0.8961
Pm  0.9073  0.3207  0.2317
Pr  0.0000  0.0000  0.0000
Y  0.2107  0.6188  0.1834
Y  0.3812  0.5645  0.5919
Y  0.4355  0.0274  0.8166
Y  0.7500  0.2500  0.5000
Y  0.9726  0.7893  0.4081

Peak list (10 most intense, 2θ from 10° to 90°, low angle first)
2θ/deg	d/Å	I (rel.)
22.26	3.994	29
27.27	3.271	74
29.00	3.079	72
29.21	3.057	78
31.29	2.858	27
33.07	2.709	100
33.99	2.637	62
34.54	2.597	62
55.20	1.664	27
61.36	1.511	21

---

Theoretical powder diffractogram
Compound: Li2Pu2MnS6
Radiation: copper Kα
Structure: a PBE-relaxed structure
Kinematic intensities with the Lorentz-polarization factor, no thermal factor.

Crystal structure
a b c (Å): 6.6032 6.6032 6.4148
angles (deg): 98.81 98.81 120.15
Fractional positions:
Li  0.1642  0.8358  0.0000
Li  0.8358  0.1642  0.0000
Pu  0.3346  0.6654  0.5000
Pu  0.6654  0.3346  0.5000
Mn  0.0000  0.0000  0.5000
S  0.0724  0.3986  0.7421
S  0.2194  0.2194  0.2696
S  0.3986  0.0724  0.7421
S  0.6014  0.9276  0.2579
S  0.7806  0.7806  0.7304
S  0.9276  0.6014  0.2579

Peak list (10 most intense, 2θ from 10° to 90°, low angle first)
2θ/deg	d/Å	I (rel.)
14.51	6.105	100
27.36	3.259	43
27.71	3.219	20
28.92	3.087	16
33.16	2.702	54
34.13	2.627	24
37.00	2.430	18
43.75	2.069	14
47.82	1.902	18
48.83	1.865	17

---

Theoretical powder diffractogram
Compound: Ce6In5Ga
Radiation: copper Kα
Structure: a PBE-relaxed structure
Kinematic intensities with the Lorentz-polarization factor, no thermal factor.

Crystal structure
a b c (Å): 4.7304 9.3966 7.4564
angles (deg): 90.00 107.69 90.00
Fractional positions:
Ce  0.0000  0.2409  0.0000
Ce  0.0000  0.7591  0.0000
Ce  0.3376  0.2456  0.6768
Ce  0.3376  0.7544  0.6768
Ce  0.6624  0.2456  0.3232
Ce  0.6624  0.7544  0.3232
In  0.1682  0.5000  0.3356
In  0.1690  0.0000  0.3365
In  0.5000  0.5000  0.0000
In  0.8310  0.0000  0.6635
In  0.8318  0.5000  0.6644
Ga  0.5000  0.0000  0.0000

Peak list (10 most intense, 2θ from 10° to 90°, low angle first)
2θ/deg	d/Å	I (rel.)
32.70	2.738	100
33.01	2.713	97
38.00	2.368	33
38.05	2.365	33
38.32	2.349	32
55.09	1.667	44
65.14	1.432	13
65.20	1.431	13
65.74	1.421	38
65.94	1.417	12

---

Theoretical powder diffractogram
Compound: RbAuBr3
Radiation: copper Kα
Structure: a PBE-relaxed structure
Kinematic intensities with the Lorentz-polarization factor, no thermal factor.

Crystal structure
a b c (Å): 8.0305 8.0305 13.7718
angles (deg): 106.05 106.05 68.27
Fractional positions:
Rb  0.0510  0.6889  0.8586
Rb  0.3111  0.9490  0.6414
Rb  0.6889  0.0510  0.3586
Rb  0.9490  0.3111  0.1414
Au  0.0000  0.5000  0.5000
Au  0.1285  0.8715  0.2500
Au  0.5000  0.0000  0.0000
Au  0.8715  0.1285  0.7500
Br  0.0534  0.2767  0.8954
Br  0.0962  0.6607  0.4022
Br  0.2750  0.5013  0.6375
Br  0.2767  0.0534  0.3954
Br  0.3393  0.9038  0.0978
Br  0.4987  0.7250  0.8625
Br  0.5013  0.2750  0.1375
Br  0.6607  0.0962  0.9022
Br  0.7233  0.9466  0.6046
Br  0.7250  0.4987  0.3625
Br  0.9038  0.3393  0.5978
Br  0.9466  0.7233  0.1046

Peak list (10 most intense, 2θ from 10° to 90°, low angle first)
2θ/deg	d/Å	I (rel.)
12.10	7.317	63
15.01	5.901	98
16.05	5.523	80
19.70	4.506	59
20.87	4.257	75
21.73	4.090	53
23.97	3.713	96
28.72	3.108	79
30.30	2.949	69
32.42	2.761	100

---

Q: Number 11 is which compound?
A: Ce6In5Ga